Diffraction record for Ba2GdCu3SO6. The powder XRD pattern is calculated, not measured: it uses a structure optimized by DFT (GGA-PBE) and Cu Kα, 1.54184 Å.
Kinematic intensities with the Lorentz-polarization factor, no thermal factor.

```
data_Ba2GdCu3SO6
_chemical_formula_sum 'Ba2 Gd1 Cu3 S1 O6'
_cell_length_a 3.8304
_cell_length_b 4.1670
_cell_length_c 12.3421
_cell_angle_alpha 90.00
_cell_angle_beta 90.00
_cell_angle_gamma 90.00
_space_group_name_H-M_alt 'P 1'
_space_group_IT_number 1
loop_
_space_group_symop_operation_xyz
'x,y,z'
loop_
_atom_site_label
_atom_site_fract_x
_atom_site_fract_y
_atom_site_fract_z
_atom_site_occupancy
Ba1 0.0000 0.0000 0.2023 1
Ba2 0.0000 0.0000 0.7977 1
Gd1 0.0000 0.0000 0.5000 1
Cu1 0.5000 0.5000 0.0000 1
Cu2 0.5000 0.5000 0.3673 1
Cu3 0.5000 0.5000 0.6327 1
S1 0.5000 0.0000 0.0000 1
O1 0.0000 0.5000 0.3852 1
O2 0.0000 0.5000 0.6148 1
O3 0.5000 0.0000 0.3787 1
O4 0.5000 0.0000 0.6213 1
O5 0.5000 0.5000 0.1551 1
O6 0.5000 0.5000 0.8449 1
```

Peak list (12 most intense, 10° ≤ 2θ ≤ 90°, sorted by position)
two_theta	I_rel
21.32	18.6
30.54	78.6
31.73	100.0
31.92	93.7
36.23	31.1
37.43	19.6
38.71	29.9
43.44	47.3
47.47	28.6
54.90	40.2
57.51	34.6
66.29	19.8

---

Diffraction record for CePuAu6. The powder XRD pattern is calculated, not measured: it uses a structure optimized by DFT (GGA-PBE) and Cu Kα, 1.54184 Å.
Kinematic intensities with the Lorentz-polarization factor, no thermal factor.

```
data_CePuAu6
_chemical_formula_sum 'Ce1 Pu1 Au6'
_cell_length_a 4.8265
_cell_length_b 6.4426
_cell_length_c 6.4426
_cell_angle_alpha 60.19
_cell_angle_beta 90.00
_cell_angle_gamma 90.00
_space_group_name_H-M_alt 'P 1'
_space_group_IT_number 1
loop_
_space_group_symop_operation_xyz
'x,y,z'
loop_
_atom_site_label
_atom_site_fract_x
_atom_site_fract_y
_atom_site_fract_z
_atom_site_occupancy
Ce1 0.0000 0.0000 0.0000 1
Pu1 0.5000 0.6685 0.6685 1
Au1 0.0000 0.0210 0.4900 1
Au2 0.0000 0.4900 0.0210 1
Au3 0.0000 0.4918 0.4918 1
Au4 0.5000 0.1777 0.1777 1
Au5 0.5000 0.1794 0.6456 1
Au6 0.5000 0.6456 0.1794 1
```

Peak list (12 most intense, 10° ≤ 2θ ≤ 90°, sorted by position)
two_theta	I_rel
15.87	2.9
32.05	20.3
37.21	100.0
49.95	12.0
57.02	5.0
57.19	10.1
67.15	15.6
70.10	13.5
70.28	15.1
79.21	2.0
79.42	3.1
88.22	2.6

---

Diffraction record for Sm6Er12Al. The powder XRD pattern is calculated, not measured: it uses a structure optimized by DFT (GGA-PBE) and Cu Kα, 1.54184 Å.
Kinematic intensities with the Lorentz-polarization factor, no thermal factor.

```
data_Sm6Er12Al
_chemical_formula_sum 'Sm6 Er12 Al1'
_cell_length_a 8.4028
_cell_length_b 8.4028
_cell_length_c 8.4028
_cell_angle_alpha 88.99
_cell_angle_beta 88.99
_cell_angle_gamma 88.99
_space_group_name_H-M_alt 'P 1'
_space_group_IT_number 1
loop_
_space_group_symop_operation_xyz
'x,y,z'
loop_
_atom_site_label
_atom_site_fract_x
_atom_site_fract_y
_atom_site_fract_z
_atom_site_occupancy
Sm1 0.2008 0.7579 0.5920 1
Sm2 0.2421 0.4080 0.7992 1
Sm3 0.4080 0.7992 0.2421 1
Sm4 0.5920 0.2008 0.7579 1
Sm5 0.7579 0.5920 0.2008 1
Sm6 0.7992 0.2421 0.4080 1
Er1 0.0381 0.9373 0.2791 1
Er2 0.0627 0.7209 0.9619 1
Er3 0.1426 0.4854 0.3142 1
Er4 0.2791 0.0381 0.9373 1
Er5 0.3142 0.1426 0.4854 1
Er6 0.4854 0.3142 0.1426 1
Er7 0.5146 0.6858 0.8574 1
Er8 0.6858 0.8574 0.5146 1
Er9 0.7209 0.9619 0.0627 1
Er10 0.8574 0.5146 0.6858 1
Er11 0.9373 0.2791 0.0381 1
Er12 0.9619 0.0627 0.7209 1
Al1 0.5000 0.5000 0.5000 1
```

Peak list (12 most intense, 10° ≤ 2θ ≤ 90°, sorted by position)
two_theta	I_rel
23.52	15.6
23.85	14.5
30.36	10.3
31.45	39.2
31.96	25.1
32.22	100.0
33.56	70.1
33.92	24.3
35.50	15.7
45.88	16.0
55.06	12.5
56.31	17.9

---

Diffraction record for La10Co3Pb2. The powder XRD pattern is calculated, not measured: it uses a structure optimized by DFT (GGA-PBE) and Cu Kα, 1.54184 Å.
Kinematic intensities with the Lorentz-polarization factor, no thermal factor.

```
data_La10Co3Pb2
_chemical_formula_sum 'La20 Co6 Pb4'
_cell_length_a 13.1192
_cell_length_b 13.1192
_cell_length_c 10.4992
_cell_angle_alpha 110.70
_cell_angle_beta 110.70
_cell_angle_gamma 33.33
_space_group_name_H-M_alt 'P 1'
_space_group_IT_number 1
loop_
_space_group_symop_operation_xyz
'x,y,z'
loop_
_atom_site_label
_atom_site_fract_x
_atom_site_fract_y
_atom_site_fract_z
_atom_site_occupancy
La1 0.0000 0.5000 0.5000 1
La2 0.0095 0.0095 0.7231 1
La3 0.0904 0.6084 0.0266 1
La4 0.1095 0.6645 0.4504 1
La5 0.2445 0.7555 0.0000 1
La6 0.2591 0.2591 0.2024 1
La7 0.3355 0.8905 0.5496 1
La8 0.3714 0.3714 0.7588 1
La9 0.3916 0.9096 0.9734 1
La10 0.4842 0.4842 0.3198 1
La11 0.5000 0.0000 0.5000 1
La12 0.5158 0.5158 0.6802 1
La13 0.6084 0.0904 0.0266 1
La14 0.6286 0.6286 0.2412 1
La15 0.6645 0.1095 0.4504 1
La16 0.7409 0.7409 0.7976 1
La17 0.7555 0.2445 0.0000 1
La18 0.8905 0.3355 0.5496 1
La19 0.9096 0.3916 0.9734 1
La20 0.9905 0.9905 0.2769 1
Co1 0.1910 0.8090 0.5000 1
Co2 0.3212 0.3212 0.4748 1
Co3 0.4241 0.4241 0.0338 1
Co4 0.5759 0.5759 0.9662 1
Co5 0.6788 0.6788 0.5252 1
Co6 0.8090 0.1910 0.5000 1
Pb1 0.1277 0.1277 0.2476 1
Pb2 0.2342 0.2342 0.8016 1
Pb3 0.7658 0.7658 0.1984 1
Pb4 0.8723 0.8723 0.7524 1
```

Peak list (12 most intense, 10° ≤ 2θ ≤ 90°, sorted by position)
two_theta	I_rel
27.48	17.9
27.62	17.2
28.54	59.1
29.99	100.0
30.61	38.5
31.15	35.3
31.98	89.3
36.84	20.9
37.97	22.3
48.33	58.7
50.13	28.3
57.13	17.1

---

Diffraction record for Li6Be7. The powder XRD pattern is calculated, not measured: it uses a structure optimized by DFT (GGA-PBE) and Cu Kα, 1.54184 Å.
Kinematic intensities with the Lorentz-polarization factor, no thermal factor.

```
data_Li6Be7
_chemical_formula_sum 'Li6 Be7'
_cell_length_a 8.7093
_cell_length_b 8.7093
_cell_length_c 8.7093
_cell_angle_alpha 30.05
_cell_angle_beta 30.05
_cell_angle_gamma 30.05
_space_group_name_H-M_alt 'P 1'
_space_group_IT_number 1
loop_
_space_group_symop_operation_xyz
'x,y,z'
loop_
_atom_site_label
_atom_site_fract_x
_atom_site_fract_y
_atom_site_fract_z
_atom_site_occupancy
Li1 0.0518 0.0518 0.0518 1
Li2 0.1502 0.1502 0.1502 1
Li3 0.3314 0.3314 0.3314 1
Li4 0.6686 0.6686 0.6686 1
Li5 0.8498 0.8498 0.8498 1
Li6 0.9482 0.9482 0.9482 1
Be1 0.0966 0.5920 0.5920 1
Be2 0.4080 0.4080 0.9034 1
Be3 0.4080 0.9034 0.4080 1
Be4 0.5000 0.5000 0.5000 1
Be5 0.5920 0.0966 0.5920 1
Be6 0.5920 0.5920 0.0966 1
Be7 0.9034 0.4080 0.4080 1
```

Peak list (12 most intense, 10° ≤ 2θ ≤ 90°, sorted by position)
two_theta	I_rel
10.65	77.4
21.39	41.7
39.93	46.6
43.03	52.1
43.57	26.8
45.73	100.0
46.30	73.5
46.59	55.2
48.81	35.0
50.11	81.2
77.02	32.7
86.13	42.1

---

Diffraction record for LiCoRu. The powder XRD pattern is calculated, not measured: it uses a structure optimized by DFT (GGA-PBE) and Cu Kα, 1.54184 Å.
Kinematic intensities with the Lorentz-polarization factor, no thermal factor.

```
data_LiCoRu
_chemical_formula_sum 'Li2 Co2 Ru2'
_cell_length_a 4.1238
_cell_length_b 4.1238
_cell_length_c 4.8895
_cell_angle_alpha 90.00
_cell_angle_beta 90.00
_cell_angle_gamma 120.00
_space_group_name_H-M_alt 'P 1'
_space_group_IT_number 1
loop_
_space_group_symop_operation_xyz
'x,y,z'
loop_
_atom_site_label
_atom_site_fract_x
_atom_site_fract_y
_atom_site_fract_z
_atom_site_occupancy
Li1 0.3333 0.6667 0.0000 1
Li2 0.6667 0.3333 0.0000 1
Co1 0.3333 0.6667 0.5000 1
Co2 0.6667 0.3333 0.5000 1
Ru1 0.0000 0.0000 0.2446 1
Ru2 0.0000 0.0000 0.7554 1
```

Peak list (12 most intense, 10° ≤ 2θ ≤ 90°, sorted by position)
two_theta	I_rel
18.14	27.9
24.93	64.9
31.01	15.8
43.91	83.2
44.93	100.0
47.88	12.3
51.15	9.0
64.64	32.5
69.66	7.1
80.72	12.9
81.44	33.0
83.60	6.4

---

Diffraction record for NpHBr4. The powder XRD pattern is calculated, not measured: it uses a structure optimized by DFT (GGA-PBE) and Cu Kα, 1.54184 Å.
Kinematic intensities with the Lorentz-polarization factor, no thermal factor.

```
data_NpHBr4
_chemical_formula_sum 'Np2 H2 Br8'
_cell_length_a 6.9920
_cell_length_b 7.7683
_cell_length_c 9.1614
_cell_angle_alpha 75.46
_cell_angle_beta 67.69
_cell_angle_gamma 89.99
_space_group_name_H-M_alt 'P 1'
_space_group_IT_number 1
loop_
_space_group_symop_operation_xyz
'x,y,z'
loop_
_atom_site_label
_atom_site_fract_x
_atom_site_fract_y
_atom_site_fract_z
_atom_site_occupancy
Np1 0.0000 0.0000 0.0000 1
Np2 0.5000 0.5000 0.0000 1
H1 0.1553 0.7497 0.5002 1
H2 0.8447 0.2503 0.4998 1
Br1 0.1267 0.6645 0.1258 1
Br2 0.2483 0.1645 0.1258 1
Br3 0.3125 0.0498 0.7112 1
Br4 0.4745 0.5497 0.7112 1
Br5 0.5255 0.4503 0.2888 1
Br6 0.6875 0.9502 0.2888 1
Br7 0.7517 0.8355 0.8742 1
Br8 0.8733 0.3355 0.8742 1
```

Peak list (12 most intense, 10° ≤ 2θ ≤ 90°, sorted by position)
two_theta	I_rel
10.84	100.0
17.21	64.6
19.15	26.8
21.55	20.2
23.80	14.9
28.88	23.1
29.05	14.5
30.22	16.4
34.82	13.8
37.28	15.9
37.95	19.7
45.26	21.7

---

Diffraction record for LaCe4Ge4. The powder XRD pattern is calculated, not measured: it uses a structure optimized by DFT (GGA-PBE) and Cu Kα, 1.54184 Å.
Kinematic intensities with the Lorentz-polarization factor, no thermal factor.

```
data_LaCe4Ge4
_chemical_formula_sum 'La2 Ce8 Ge8'
_cell_length_a 9.0426
_cell_length_b 9.0426
_cell_length_c 6.1005
_cell_angle_alpha 90.00
_cell_angle_beta 90.00
_cell_angle_gamma 90.00
_space_group_name_H-M_alt 'P 1'
_space_group_IT_number 1
loop_
_space_group_symop_operation_xyz
'x,y,z'
loop_
_atom_site_label
_atom_site_fract_x
_atom_site_fract_y
_atom_site_fract_z
_atom_site_occupancy
La1 0.2500 0.2500 0.2500 1
La2 0.7500 0.7500 0.7500 1
Ce1 0.0608 0.6310 0.0914 1
Ce2 0.1310 0.9392 0.5914 1
Ce3 0.3690 0.5608 0.5914 1
Ce4 0.4392 0.8690 0.0914 1
Ce5 0.5608 0.1310 0.9086 1
Ce6 0.6310 0.4392 0.4086 1
Ce7 0.8690 0.0608 0.4086 1
Ce8 0.9392 0.3690 0.9086 1
Ge1 0.0417 0.6206 0.5963 1
Ge2 0.1206 0.9583 0.0963 1
Ge3 0.3794 0.5417 0.0963 1
Ge4 0.4583 0.8794 0.5963 1
Ge5 0.5417 0.1206 0.4037 1
Ge6 0.6206 0.4583 0.9037 1
Ge7 0.8794 0.0417 0.9037 1
Ge8 0.9583 0.3794 0.4037 1
```

Peak list (12 most intense, 10° ≤ 2θ ≤ 90°, sorted by position)
two_theta	I_rel
17.54	13.2
19.63	12.0
26.44	26.8
30.94	39.8
31.28	100.0
36.91	24.7
42.15	35.3
44.82	32.9
46.90	27.3
65.26	11.1
70.46	15.6
74.15	10.9